(1)
Simulated X-ray powder pattern of Ru2BrO8 for copper Kα, from the PBE geometry in Alexandria.
Lines closer than 0.1° are merged.

Top 10 peaks for 2θ from 10° to 90°, in order of rising 2θ:
- 2θ 14.61, 6.064 Å, I = 30
- 2θ 14.83, 5.974 Å, I = 61
- 2θ 19.55, 4.540 Å, I = 33
- 2θ 22.64, 3.927 Å, I = 100
- 2θ 25.96, 3.432 Å, I = 32
- 2θ 26.23, 3.398 Å, I = 28
- 2θ 28.91, 3.089 Å, I = 22
- 2θ 29.52, 3.026 Å, I = 29
- 2θ 39.40, 2.287 Å, I = 20
- 2θ 39.69, 2.271 Å, I = 18

Atomic structure:
Unit cell a=12.681 b=6.865 c=6.177 alpha=90.00 beta=106.99 gamma=90.00
Space group C2/m (No. 12)
Symmetry-distinct sites (fractional):
Ru  0.204  0.000  0.246
Br  0.000  0.000  0.500
O  0.152  0.207  0.097
O  0.155  0.500  0.685
O  0.164  0.000  0.501

=====

(2)
Simulated X-ray powder pattern of CaGaAu11 for copper Kα, from the PBE geometry in Alexandria.
Lines closer than 0.1° are merged.

Top 10 peaks for 2θ from 10° to 90°, in order of rising 2θ:
- 2θ 13.09, 6.763 Å, I = 24
- 2θ 19.00, 4.671 Å, I = 21
- 2θ 36.46, 2.464 Å, I = 29
- 2θ 36.70, 2.449 Å, I = 26
- 2θ 37.39, 2.405 Å, I = 40
- 2θ 37.63, 2.391 Å, I = 57
- 2θ 38.55, 2.335 Å, I = 29
- 2θ 40.57, 2.223 Å, I = 33
- 2θ 42.27, 2.138 Å, I = 100
- 2θ 66.07, 1.414 Å, I = 33

Atomic structure:
Unit cell a=5.536 b=13.526 c=7.123 alpha=90.00 beta=108.36 gamma=90.00
Space group C2/m (No. 12)
Symmetry-distinct sites (fractional):
Ca  0.000  0.000  0.000
Ga  0.000  0.500  0.500
Au  0.000  0.000  0.500
Au  0.079  0.395  0.220
Au  0.145  0.175  0.349
Au  0.250  0.250  0.000